Structure and theoretical powder X-ray diffraction pattern of CaAl10Ru2 (a PBE-relaxed structure; copper Kα).

Top 10 peaks for 15° ≤ 2θ ≤ 90°, in order of falling intensity:
d_spacing  2θ (°)  intensity  index
2.241  40.2  100  0 4 2
4.574  19.4  89  2 0 0
2.012  45.1  73  2 4 2
5.141  17.2  64  0 2 0
3.417  26.1  60  0 2 2
2.046  44.3  55  2 0 4
2.284  39.5  37  4 0 0
2.291  39.3  36  0 0 4
3.234  27.6  35  2 0 2
2.276  39.6  32  2 2 3

Atomic structure:
a b c (Å): 9.134 10.281 9.162
angles (deg): 90.00 90.00 90.00
Space group Cmcm (No. 63)
Asymmetric unit:
Ca (0.000, 0.125, 0.250) (multiplicity 4)
Al (0.000, 0.156, 0.600) (multiplicity 8)
Al (0.000, 0.376, 0.045) (multiplicity 8)
Al (0.152, 0.371, 0.750) (multiplicity 8)
Al (0.223, 0.364, 0.250) (multiplicity 8)
Al (0.225, 0.000, 0.000) (multiplicity 8)
Ru (0.250, 0.250, 0.000) (multiplicity 8)


Structure and theoretical powder X-ray diffraction pattern of UNiRh5 (a PBE-relaxed structure; copper Kα).

Top 10 peaks for 15° ≤ 2θ ≤ 90°, in order of falling intensity:
d_spacing  2θ (°)  intensity  index
2.154  41.9  100  2 0 2
2.281  39.5  66  2 2 -2
1.996  45.4  61  4 2 0
2.210  40.8  52  3 1 -3
5.400  16.4  52  2 0 0
2.598  34.5  51  2 2 0
2.980  30.0  43  4 0 -2
2.101  43.0  38  0 2 2
2.323  38.8  36  5 1 -1
2.944  30.4  23  3 1 -2

Atomic structure:
a b c (Å): 12.937 5.926 7.147
angles (deg): 90.00 123.41 90.00
Space group C2/c (No. 15)
Asymmetric unit:
U (0.000, 0.011, 0.250) (multiplicity 4)
Ni (0.250, 0.250, 0.500) (multiplicity 4)
Rh (0.000, 0.423, 0.250) (multiplicity 4)
Rh (0.132, 0.267, 0.688) (multiplicity 8)
Rh (0.133, 0.267, 0.076) (multiplicity 8)


Structure and theoretical powder X-ray diffraction pattern of NdGa4CuRu2 (a PBE-relaxed structure; copper Kα).

Top 10 peaks for 15° ≤ 2θ ≤ 90°, in order of falling intensity:
d_spacing  2θ (°)  intensity  index
2.132  42.4  100  1 1 0
2.450  36.7  59  0 1 8
3.018  29.6  32  0 1 5
2.001  45.3  21  0 1 11
1.231  77.5  18  3 0 0
1.608  57.3  16  2 0 8
1.284  73.8  14  1 2 8
1.720  53.3  10  1 1 9
1.133  85.7  10  1 0 22
3.216  27.7  9  1 0 4

Atomic structure:
a b c (Å): 4.2636 4.2636 26.1914
angles (deg): 90.00 90.00 120.00
Space group R-3m (No. 166, hexagonal axes)
Asymmetric unit:
Nd (0.0000, 0.0000, 0.0000) (multiplicity 3)
Ga (0.0000, 0.0000, 0.1290) (multiplicity 6)
Ga (0.0000, 0.0000, 0.4016) (multiplicity 6)
Cu (0.0000, 0.0000, 0.5000) (multiplicity 3)
Ru (0.0000, 0.0000, 0.2277) (multiplicity 6)